1.
Starting from a crystal structure in Alexandria, relaxed with GGA-PBE, the powder diffraction line list of Nb3W2 was computed for Cu Ka.

Peak list (10 most intense, 2θ from 10° to 80°, by angle)
| Position (°2θ) | I (rel.) |
| --- | --- |
| 19.53 | 23 |
| 37.17 | 53 |
| 38.06 | 100 |
| 38.65 | 96 |
| 46.70 | 56 |
| 61.14 | 25 |
| 63.20 | 22 |
| 67.99 | 18 |
| 69.55 | 17 |
| 71.49 | 16 |

```
data_Nb3W2
_cell_length_a 2.743
_cell_length_b 9.676
_cell_length_c 26.584
_cell_angle_alpha 90.00
_cell_angle_beta 90.00
_cell_angle_gamma 90.00
_symmetry_space_group_name_H-M 'F d d d'
_symmetry_Int_Tables_number 70
loop_
_symmetry_equiv_pos_as_xyz
'x,y,z'
'-x,-y,-z'
'-x+1/4,-y+1/4,z'
'x+1/4,y+1/4,-z'
'x,-y+1/4,-z+1/4'
'-x,y+1/4,z+1/4'
'-x+1/4,y,-z+1/4'
'x+1/4,-y,z+1/4'
'x,y+1/2,z+1/2'
'-x,-y+1/2,-z+1/2'
'-x+1/4,-y+3/4,z+1/2'
'x+1/4,y+3/4,-z+1/2'
'x,-y+3/4,-z+3/4'
'-x,y+3/4,z+3/4'
'-x+1/4,y+1/2,-z+3/4'
'x+1/4,-y+1/2,z+3/4'
'x+1/2,y,z+1/2'
'-x+1/2,-y,-z+1/2'
'-x+3/4,-y+1/4,z+1/2'
'x+3/4,y+1/4,-z+1/2'
'x+1/2,-y+1/4,-z+3/4'
'-x+1/2,y+1/4,z+3/4'
'-x+3/4,y,-z+3/4'
'x+3/4,-y,z+3/4'
'x+1/2,y+1/2,z'
'-x+1/2,-y+1/2,-z'
'-x+3/4,-y+3/4,z'
'x+3/4,y+3/4,-z'
'x+1/2,-y+3/4,-z+1/4'
'-x+1/2,y+3/4,z+1/4'
'-x+3/4,y+1/2,-z+1/4'
'x+3/4,-y+1/2,z+1/4'
loop_
_atom_site_label
_atom_site_type_symbol
_atom_site_fract_x
_atom_site_fract_y
_atom_site_fract_z
Nb1 Nb 0.125 0.125 0.025
Nb2 Nb 0.125 0.125 0.625
W1 W 0.125 0.125 0.424
```


2.
Starting from a crystal structure in Alexandria, relaxed with GGA-PBE, the powder diffraction line list of Nb7W3 was computed for Cu Ka.

Peak list (10 most intense, 2θ from 10° to 80°, by angle)
| Position (°2θ) | I (rel.) |
| --- | --- |
| 11.56 | 22 |
| 19.86 | 31 |
| 32.50 | 22 |
| 35.04 | 40 |
| 35.18 | 22 |
| 38.91 | 100 |
| 40.34 | 71 |
| 62.29 | 25 |
| 63.11 | 21 |
| 72.82 | 30 |

```
data_Nb7W3
_cell_length_a 8.8358
_cell_length_b 8.8358
_cell_length_c 5.5104
_cell_angle_alpha 90.00
_cell_angle_beta 90.00
_cell_angle_gamma 120.00
_symmetry_space_group_name_H-M 'P 63/m m c'
_symmetry_Int_Tables_number 194
_symmetry_space_group_name_Hall '-P 6c 2c'
loop_
_atom_site_label
_atom_site_type_symbol
_atom_site_fract_x
_atom_site_fract_y
_atom_site_fract_z
Nb1 Nb 0.0000 0.5000 0.0000
Nb2 Nb 0.1232 0.2463 0.2500
Nb3 Nb 0.3333 0.6667 0.2500
W1 W 0.2217 0.4435 0.7500
```


3.
Starting from a crystal structure in Alexandria, relaxed with GGA-PBE, the powder diffraction line list of NbW5 was computed for Cu Ka.

Peak list (8 most intense, 2θ from 10° to 80°, by angle)
| Position (°2θ) | I (rel.) |
| --- | --- |
| 18.48 | 1 |
| 19.61 | 1 |
| 21.68 | 1 |
| 27.07 | 1 |
| 29.39 | 1 |
| 39.81 | 100 |
| 57.56 | 17 |
| 72.26 | 35 |

```
data_NbW5
_cell_length_a 4.534
_cell_length_b 9.605
_cell_length_c 4.526
_cell_angle_alpha 90.00
_cell_angle_beta 90.00
_cell_angle_gamma 90.00
_symmetry_space_group_name_H-M 'C m m m'
_symmetry_Int_Tables_number 65
_symmetry_space_group_name_Hall '-C 2 2'
loop_
_atom_site_label
_atom_site_type_symbol
_atom_site_fract_x
_atom_site_fract_y
_atom_site_fract_z
Nb1 Nb 0.000 0.000 0.000
W1 W 0.000 0.168 0.500
W2 W 0.000 0.332 0.000
W3 W 0.000 0.500 0.500
```


4.
Starting from a crystal structure in Alexandria, relaxed with GGA-PBE, the powder diffraction line list of Nb3W was computed for Cu Ka.

Peak list (10 most intense, 2θ from 10° to 80°, by angle)
| Position (°2θ) | I (rel.) |
| --- | --- |
| 18.35 | 18 |
| 37.20 | 100 |
| 37.35 | 30 |
| 41.92 | 57 |
| 53.74 | 21 |
| 60.68 | 12 |
| 67.07 | 17 |
| 70.29 | 12 |
| 73.37 | 13 |
| 79.27 | 10 |

```
data_Nb3W
_cell_length_a 2.668
_cell_length_b 9.669
_cell_length_c 5.581
_cell_angle_alpha 90.00
_cell_angle_beta 90.00
_cell_angle_gamma 90.00
_symmetry_space_group_name_H-M 'I m m 2'
_symmetry_Int_Tables_number 44
_symmetry_space_group_name_Hall 'I 2 -2'
loop_
_atom_site_label
_atom_site_type_symbol
_atom_site_fract_x
_atom_site_fract_y
_atom_site_fract_z
Nb1 Nb 0.000 0.000 0.000
Nb2 Nb 0.000 0.248 0.276
W1 W 0.000 0.500 0.005
```


5.
Starting from a crystal structure in Alexandria, relaxed with GGA-PBE, the powder diffraction line list of Nb4W3 was computed for Cu Ka.

Peak list (10 most intense, 2θ from 10° to 80°, by angle)
| Position (°2θ) | I (rel.) |
| --- | --- |
| 12.27 | 8 |
| 17.38 | 4 |
| 19.85 | 3 |
| 28.93 | 2 |
| 39.09 | 50 |
| 39.22 | 100 |
| 56.48 | 17 |
| 56.87 | 8 |
| 70.91 | 34 |
| 71.18 | 17 |

```
data_Nb4W3
_cell_length_a 10.306
_cell_length_b 3.238
_cell_length_c 7.286
_cell_angle_alpha 90.00
_cell_angle_beta 98.11
_cell_angle_gamma 90.00
_symmetry_space_group_name_H-M 'C 1 m 1'
_symmetry_Int_Tables_number 8
_symmetry_space_group_name_Hall 'C -2y'
loop_
_atom_site_label
_atom_site_type_symbol
_atom_site_fract_x
_atom_site_fract_y
_atom_site_fract_z
Nb1 Nb 0.000 0.000 0.000
Nb2 Nb 0.067 0.500 0.706
Nb3 Nb 0.143 0.000 0.420
Nb4 Nb 0.284 0.000 0.852
W1 W 0.215 0.500 0.140
W2 W 0.358 0.500 0.561
W3 W 0.423 0.000 0.281
```


6.
Starting from a crystal structure in Alexandria, relaxed with GGA-PBE, the powder diffraction line list of Nb4W was computed for Cu Ka.

Peak list (10 most intense, 2θ from 10° to 80°, by angle)
| Position (°2θ) | I (rel.) |
| --- | --- |
| 14.79 | 50 |
| 33.46 | 63 |
| 37.27 | 37 |
| 37.67 | 100 |
| 40.30 | 43 |
| 45.86 | 42 |
| 48.04 | 42 |
| 63.30 | 21 |
| 66.54 | 18 |
| 76.56 | 18 |

```
data_Nb4W
_cell_length_a 5.989
_cell_length_b 5.989
_cell_length_c 5.272
_cell_angle_alpha 90.00
_cell_angle_beta 90.00
_cell_angle_gamma 90.00
_symmetry_space_group_name_H-M 'P 4/m c c'
_symmetry_Int_Tables_number 124
_symmetry_space_group_name_Hall '-P 4 2c'
loop_
_atom_site_label
_atom_site_type_symbol
_atom_site_fract_x
_atom_site_fract_y
_atom_site_fract_z
Nb1 Nb 0.133 0.313 0.000
W1 W 0.500 0.500 0.250
```